Starting from a crystal structure in Alexandria, relaxed with PBE+U, the XRD peak list of BaPrMn2O6 was computed for CuKα.
Peak positions follow from Bragg's law for the DFT cell and can differ from measured ones.

Peak list (10 most intense, 10 to 80 degrees two-theta, low angle first)
| 2θ (°) | Rel. int. | index |
| --- | --- | --- |
| 11.19 | 1 | 0 0 1 |
| 22.49 | 15 | 0 0 2 |
| 32.01 | 100 | 1 1 0 |
| 39.48 | 20 | 1 1 2 |
| 45.90 | 33 | 2 0 0 |
| 51.70 | 8 | 2 0 2 |
| 57.06 | 39 | 1 1 4 |
| 66.94 | 19 | 2 2 0 |
| 71.60 | 4 | 0 0 6 |
| 76.14 | 16 | 3 1 0 |

Structural model:
```
BaPrMn2O6
1.0
3.9542 0.0000 0.0000
0.0000 3.9542 0.0000
0.0000 0.0000 7.9059
Ba Pr Mn O
1 1 2 6
direct
0.0000 0.0000 0.0000 Ba
0.0000 0.0000 0.5000 Pr
0.5000 0.5000 0.2531 Mn
0.5000 0.5000 0.7469 Mn
0.0000 0.5000 0.2735 O
0.0000 0.5000 0.7265 O
0.5000 0.0000 0.2735 O
0.5000 0.0000 0.7265 O
0.5000 0.5000 0.0000 O
0.5000 0.5000 0.5000 O
```